Calculated powder X-ray diffraction pattern of Re3Se4O9 for Cu Kα X-rays, from the PBE geometry in the Materials Project.

Structure:
```
Re3Se4O9
1.0
8.0260 4.6338 3.4160
-8.0260 4.6338 3.4160
0.0000 -9.2676 3.4160
Re Se O
6 8 18
Direct
0.1953 0.4260 0.4260
0.4260 0.1953 0.4260
0.4260 0.4260 0.1953
0.5740 0.5740 0.8047
0.5740 0.8047 0.5740
0.8047 0.5740 0.5740
0.2184 0.2184 0.2184
0.3126 0.3126 0.6023
0.3126 0.6023 0.3126
0.3977 0.6874 0.6874
0.6023 0.3127 0.3126
0.6874 0.3977 0.6874
0.6874 0.6873 0.3977
0.7816 0.7816 0.7816
0.0031 0.6284 0.6284
0.0363 0.4257 0.9117
0.0363 0.9117 0.4257
0.0883 0.5744 0.9637
0.0883 0.9637 0.5743
0.3716 0.3716 0.9969
0.3716 0.9969 0.3716
0.4257 0.0363 0.9117
0.4257 0.9117 0.0363
0.5743 0.0883 0.9637
0.5743 0.9637 0.0883
0.6284 0.0031 0.6284
0.6284 0.6284 0.0031
0.9117 0.0363 0.4257
0.9117 0.4257 0.0363
0.9637 0.0883 0.5743
0.9637 0.5744 0.0883
0.9969 0.3716 0.3716
```

The 10 most intense peaks (2θ = 15–90°), sorted by position:
- 2θ 18.45, rel. 19
- 2θ 19.15, rel. 16
- 2θ 24.67, rel. 100
- 2θ 33.39, rel. 26
- 2θ 35.63, rel. 17
- 2θ 39.74, rel. 20
- 2θ 40.18, rel. 19
- 2θ 40.47, rel. 38
- 2θ 42.36, rel. 38
- 2θ 45.19, rel. 25